MnCoSi2: calculated powder diffraction line list (λ = 1.5418 Å (Cu Kα)), based on a cell relaxed with PBE.
No peak broadening, texture or thermal motion is included.

Crystal structure
```
data_MnCoSi2
_chemical_formula_sum 'Mn2 Co2 Si4'
_cell_length_a 4.4941
_cell_length_b 4.4374
_cell_length_c 4.5051
_cell_angle_alpha 90.00
_cell_angle_beta 90.61
_cell_angle_gamma 90.00
_symmetry_space_group_name_H-M 'P 1'
_symmetry_Int_Tables_number 1
_symmetry_space_group_name_Hall 'P 1'
loop_
_atom_site_label
_atom_site_type_symbol
_atom_site_fract_x
_atom_site_fract_y
_atom_site_fract_z
Mn1 Mn 0.1067 0.0000 0.3712
Mn2 Mn 0.8933 0.5000 0.6288
Co1 Co 0.3899 0.2264 0.8636
Co2 Co 0.6101 0.7264 0.1364
Si1 Si 0.0881 0.5196 0.1491
Si2 Si 0.4117 0.7027 0.6574
Si3 Si 0.5883 0.2027 0.3426
Si4 Si 0.9119 0.0196 0.8509
```

The 8 most intense peaks (2θ from 15° to 90°), sorted by position:
2θ (°), d/Å, intensity, index
28.2, 3.160, 42, 0 1 1
44.9, 2.020, 41, 2 0 -1
45.2, 2.008, 100, 0 1 2
45.3, 2.002, 38, 2 0 1
45.6, 1.990, 93, 1 2 0
49.6, 1.839, 50, 1 1 -2
49.9, 1.826, 46, 2 1 1
80.4, 1.194, 25, 1 3 -2